(1)
Computed powder XRD pattern of Mn21Tc2N6 for CuKα, from a crystal structure in Alexandria, relaxed with GGA-PBE.
Intensities are scaled so that the largest is 100.

Main lines, low angle first (2θ from 5° to 70°):
2theta	I (rel.)
24.15	3
38.64	45
42.49	46
45.21	100
49.47	31
51.90	26
52.70	7
55.79	7
58.03	5
58.77	15

Structure:
```
Mn21Tc2N6
1.0
0.000 5.211 5.211
5.211 0.000 5.211
5.211 5.211 0.000
Mn Tc N
21 2 6
direct
0.000 0.000 0.000
0.000 0.000 0.332
0.000 0.000 0.668
0.000 0.332 0.000
0.000 0.332 0.668
0.000 0.668 0.000
0.000 0.668 0.332
0.150 0.617 0.617
0.332 0.000 0.000
0.332 0.000 0.668
0.332 0.668 0.000
0.383 0.383 0.383
0.383 0.383 0.850
0.383 0.850 0.383
0.617 0.150 0.617
0.617 0.617 0.150
0.617 0.617 0.617
0.668 0.000 0.000
0.668 0.000 0.332
0.668 0.332 0.000
0.850 0.383 0.383
0.250 0.250 0.250
0.750 0.750 0.750
0.276 0.276 0.724
0.276 0.724 0.276
0.276 0.724 0.724
0.724 0.276 0.276
0.724 0.276 0.724
0.724 0.724 0.276
```

---

(2)
Computed powder XRD pattern of EuAlAg4 for CuKα, from a crystal structure in Alexandria, relaxed with GGA-PBE.
Intensities are scaled so that the largest is 100.

Main lines, low angle first (2θ from 5° to 70°):
2theta	I (rel.)
26.70	65
31.05	16
36.00	60
37.07	100
40.13	32
41.40	31
52.64	18
55.00	34
59.24	25
64.72	22

Structure:
```
EuAlAg4
1.0
5.761 0.000 0.000
-2.881 4.989 0.000
0.000 0.000 4.494
Eu Al Ag
1 1 4
direct
0.000 0.000 0.000
0.333 0.667 0.000
0.005 0.503 0.500
0.497 0.503 0.500
0.497 0.995 0.500
0.667 0.333 0.000
```

---

(3)
Computed powder XRD pattern of Tm3PuSc2Te6 for CuKα, from a crystal structure in Alexandria, relaxed with GGA-PBE.
Intensities are scaled so that the largest is 100.

Main lines, low angle first (2θ from 5° to 70°):
2theta	I (rel.)
29.53	100
42.10	13
42.24	50
42.46	13
52.23	13
52.55	13
61.33	8
69.44	16
69.54	6
69.80	6

Structure:
```
Tm3PuSc2Te6
1.0
9.339 -2.129 0.000
9.339 2.129 0.000
-1.987 0.000 8.353
Tm Pu Sc Te
3 1 2 6
direct
0.000 0.000 0.000
0.338 0.338 0.668
0.662 0.662 0.332
0.000 0.000 0.500
0.339 0.339 0.176
0.661 0.661 0.824
0.171 0.171 0.077
0.171 0.171 0.591
0.497 0.497 0.242
0.503 0.503 0.758
0.829 0.829 0.409
0.829 0.829 0.923
```